This entry pairs a crystal structure of K3Tb2ThSe6 with its simulated X-ray diffraction stick pattern. Radiation: Cu Kα. Structure: a DFT-relaxed cell (GGA-PBE, Alexandria).
Kinematic intensities with the Lorentz-polarization factor, no thermal factor.

```
K3Tb2ThSe6
1.0
9.851 -2.115 0.000
9.851 2.115 0.000
-3.029 0.000 8.648
K Tb Th Se
3 2 1 6
direct
0.000 0.000 0.000
0.333 0.333 0.669
0.667 0.667 0.331
0.331 0.331 0.162
0.669 0.669 0.838
0.000 0.000 0.500
0.158 0.158 0.608
0.176 0.176 0.060
0.490 0.490 0.267
0.510 0.510 0.733
0.824 0.824 0.940
0.842 0.842 0.392
```

Principal peaks in the range 10 to 90 degrees two-theta, sorted by position:
11.44 deg, I 62
24.58 deg, I 16
28.80 deg, I 100
36.54 deg, I 20
39.62 deg, I 36
42.70 deg, I 35
44.33 deg, I 10
52.38 deg, I 12
59.66 deg, I 11
69.72 deg, I 14


This entry pairs a crystal structure of TaReRuN2 with its simulated X-ray diffraction stick pattern. Radiation: Cu Kα. Structure: a DFT-relaxed cell (GGA-PBE, Alexandria).
Kinematic intensities with the Lorentz-polarization factor, no thermal factor.

```
TaReRuN2
1.0
3.737 0.000 0.000
0.000 3.737 0.000
0.000 0.000 5.721
Ta Re Ru N
1 1 1 2
direct
0.000 0.000 0.000
0.500 0.500 0.000
0.000 0.000 0.500
0.000 0.500 0.500
0.500 0.000 0.500
```

Principal peaks in the range 10 to 90 degrees two-theta, sorted by position:
15.49 deg, I 86
31.27 deg, I 79
33.92 deg, I 100
37.49 deg, I 65
46.80 deg, I 83
48.73 deg, I 45
59.05 deg, I 51
75.60 deg, I 23
79.98 deg, I 21
89.79 deg, I 28


This entry pairs a crystal structure of Ce2TmIr9 with its simulated X-ray diffraction stick pattern. Radiation: Cu Kα. Structure: a DFT-relaxed cell (GGA-PBE, Alexandria).
Kinematic intensities with the Lorentz-polarization factor, no thermal factor.

```
Ce2TmIr9
1.0
2.650 1.530 8.873
-2.650 1.530 8.873
0.000 -3.060 8.873
Ce Tm Ir
2 1 9
direct
0.139 0.139 0.139
0.861 0.861 0.861
0.000 0.000 0.000
0.081 0.582 0.582
0.333 0.333 0.333
0.418 0.418 0.919
0.418 0.919 0.418
0.500 0.500 0.500
0.582 0.081 0.582
0.582 0.582 0.081
0.667 0.667 0.667
0.919 0.418 0.418
```

Principal peaks in the range 10 to 90 degrees two-theta, sorted by position:
19.63 deg, I 24
33.83 deg, I 20
39.41 deg, I 30
39.62 deg, I 100
40.67 deg, I 29
42.92 deg, I 41
46.21 deg, I 19
64.43 deg, I 24
71.18 deg, I 29
85.34 deg, I 22


This entry pairs a crystal structure of TbTlS2 with its simulated X-ray diffraction stick pattern. Radiation: Cu Kα. Structure: a DFT-relaxed cell (GGA-PBE, Alexandria).
Kinematic intensities with the Lorentz-polarization factor, no thermal factor.

```
TbTlS2
1.0
2.019 1.166 7.620
-2.019 1.166 7.620
0.000 -2.331 7.620
Tb Tl S
1 1 2
direct
0.000 0.000 0.000
0.170 0.170 0.170
0.398 0.398 0.398
0.600 0.600 0.600
```

Principal peaks in the range 10 to 90 degrees two-theta, sorted by position:
23.35 deg, I 47
25.77 deg, I 85
26.66 deg, I 38
29.96 deg, I 27
32.23 deg, I 100
37.69 deg, I 44
44.90 deg, I 50
51.19 deg, I 52
67.62 deg, I 23
74.77 deg, I 20


This entry pairs a crystal structure of HfTiFePt with its simulated X-ray diffraction stick pattern. Radiation: Cu Kα. Structure: a DFT-relaxed cell (GGA-PBE, Alexandria).
Kinematic intensities with the Lorentz-polarization factor, no thermal factor.

```
HfTiFePt
1.0
0.000 3.178 3.178
3.178 0.000 3.178
3.178 3.178 0.000
Hf Ti Fe Pt
1 1 1 1
direct
0.000 0.000 0.000
0.500 0.500 0.500
0.750 0.750 0.750
0.250 0.250 0.250
```

Principal peaks in the range 10 to 90 degrees two-theta, sorted by position:
24.25 deg, I 36
40.13 deg, I 100
47.44 deg, I 20
58.05 deg, I 17
63.84 deg, I 8
72.91 deg, I 34
78.14 deg, I 7
86.65 deg, I 11


This entry pairs a crystal structure of NbSnRu with its simulated X-ray diffraction stick pattern. Radiation: Cu Kα. Structure: a DFT-relaxed cell (GGA-PBE, Alexandria).
Kinematic intensities with the Lorentz-polarization factor, no thermal factor.

```
NbSnRu
1.0
-1.565 1.565 5.359
1.565 -1.565 5.359
1.565 1.565 -5.359
Nb Sn Ru
1 1 1
direct
0.000 0.000 0.000
0.312 0.312 0.000
0.653 0.653 0.000
```

Principal peaks in the range 10 to 90 degrees two-theta, sorted by position:
38.23 deg, I 100
40.77 deg, I 43
51.13 deg, I 10
51.68 deg, I 2
59.02 deg, I 14
67.36 deg, I 17
72.52 deg, I 30
81.82 deg, I 10
87.67 deg, I 8
88.31 deg, I 5


This entry pairs a crystal structure of ErTcBi with its simulated X-ray diffraction stick pattern. Radiation: Cu Kα. Structure: a DFT-relaxed cell (GGA-PBE, Alexandria).
Kinematic intensities with the Lorentz-polarization factor, no thermal factor.

```
ErTcBi
1.0
2.086 1.204 10.666
-2.086 1.204 10.666
0.000 -2.409 10.666
Er Tc Bi
2 2 2
direct
0.062 0.062 0.062
0.938 0.938 0.938
0.338 0.338 0.338
0.662 0.662 0.662
0.198 0.198 0.198
0.802 0.802 0.802
```

Principal peaks in the range 10 to 90 degrees two-theta, sorted by position:
24.80 deg, I 35
31.56 deg, I 100
33.42 deg, I 83
42.37 deg, I 21
43.38 deg, I 67
54.63 deg, I 22
55.84 deg, I 20
62.25 deg, I 40
72.20 deg, I 19
73.24 deg, I 18


This entry pairs a crystal structure of AcGa12Co6 with its simulated X-ray diffraction stick pattern. Radiation: Cu Kα. Structure: a DFT-relaxed cell (GGA-PBE, Alexandria).
Kinematic intensities with the Lorentz-polarization factor, no thermal factor.

```
AcGa12Co6
1.0
5.517 3.185 2.825
-5.517 3.185 2.825
0.000 -6.371 2.825
Ac Ga Co
1 12 6
direct
0.000 0.000 0.000
0.119 0.500 0.881
0.119 0.881 0.500
0.152 0.424 0.424
0.424 0.152 0.424
0.424 0.424 0.152
0.500 0.119 0.881
0.500 0.881 0.119
0.576 0.576 0.848
0.576 0.848 0.576
0.848 0.576 0.576
0.881 0.119 0.500
0.881 0.500 0.119
0.268 0.268 0.685
0.268 0.685 0.268
0.315 0.732 0.732
0.685 0.268 0.268
0.732 0.315 0.732
0.732 0.732 0.315
```

Principal peaks in the range 10 to 90 degrees two-theta, sorted by position:
26.83 deg, I 47
32.57 deg, I 21
35.49 deg, I 100
35.71 deg, I 61
40.13 deg, I 26
46.65 deg, I 22
46.91 deg, I 36
49.57 deg, I 26
52.53 deg, I 41
65.35 deg, I 23